Entry 1:
Structure and theoretical powder diffractogram of Mg3AgSn2 (a DFT-relaxed cell (PBE, Alexandria); CuKα).
Kinematic intensities with the Lorentz-polarization factor, no thermal factor.

Peak list (6 most intense, 15 to 90 degrees two-theta, sorted by position)
2θ (°)	d (Å)	I (rel.)
22.42	3.965	34
26.62	3.349	45
35.07	2.559	100
38.00	2.368	43
44.57	2.033	23
66.77	1.401	30

Atomic structure:
abc: 3.349 3.349 11.896
angles: 90.00 90.00 90.00
Fractional coordinates of all 6 atoms:
1 Mg 0.000 0.000 0.000
2 Mg 0.000 0.000 0.362
3 Mg 0.000 0.000 0.638
4 Ag 0.500 0.500 0.500
5 Sn 0.500 0.500 0.182
6 Sn 0.500 0.500 0.818



Entry 2:
Structure and theoretical powder diffractogram of Mg4Ag7Sn (a DFT-relaxed cell (PBE, Alexandria); CuKα).
Kinematic intensities with the Lorentz-polarization factor, no thermal factor.

Peak list (6 most intense, 15 to 90 degrees two-theta, sorted by position)
2θ (°)	d (Å)	I (rel.)
19.49	4.554	70
24.21	3.676	73
34.59	2.593	100
35.11	2.556	55
35.59	2.522	62
39.18	2.300	71

Atomic structure:
abc: 5.891 5.891 10.421
angles: 115.87 115.87 52.23
Fractional coordinates of all 12 atoms:
1 Mg 0.101 0.101 0.271
2 Mg 0.259 0.259 0.832
3 Mg 0.741 0.741 0.168
4 Mg 0.899 0.899 0.729
5 Ag 0.000 0.000 0.500
6 Ag 0.140 0.140 0.017
7 Ag 0.289 0.289 0.584
8 Ag 0.444 0.444 0.152
9 Ag 0.556 0.556 0.848
10 Ag 0.711 0.711 0.416
11 Ag 0.860 0.860 0.983
12 Sn 0.500 0.500 0.500



Entry 3:
Structure and theoretical powder diffractogram of Mg2Ag4Sn (a DFT-relaxed cell (PBE, Alexandria); CuKα).
Kinematic intensities with the Lorentz-polarization factor, no thermal factor.

Peak list (6 most intense, 15 to 90 degrees two-theta, sorted by position)
2θ (°)	d (Å)	I (rel.)
30.77	2.906	70
32.33	2.769	46
32.55	2.751	50
36.04	2.492	40
40.31	2.237	44
41.65	2.169	100

Atomic structure:
abc: 7.013 5.770 5.725
angles: 75.19 52.70 52.11
Fractional coordinates of all 7 atoms:
1 Mg 0.250 0.250 0.250
2 Mg 0.750 0.750 0.750
3 Ag 0.201 0.799 0.201
4 Ag 0.204 0.204 0.796
5 Ag 0.796 0.796 0.204
6 Ag 0.799 0.201 0.799
7 Sn 0.500 0.500 0.500



Entry 4:
Structure and theoretical powder diffractogram of Mg2Ag7Sn2 (a DFT-relaxed cell (PBE, Alexandria); CuKα).
Kinematic intensities with the Lorentz-polarization factor, no thermal factor.

Peak list (6 most intense, 15 to 90 degrees two-theta, sorted by position)
2θ (°)	d (Å)	I (rel.)
20.94	4.242	27
29.56	3.022	24
36.84	2.440	35
37.04	2.427	56
38.36	2.346	100
39.73	2.269	67

Atomic structure:
abc: 6.887 6.887 5.164
angles: 107.76 107.76 89.62
Fractional coordinates of all 11 atoms:
1 Mg 0.227 0.773 0.000
2 Mg 0.773 0.227 0.000
3 Ag 0.000 0.000 0.500
4 Ag 0.080 0.589 0.341
5 Ag 0.410 0.410 0.680
6 Ag 0.411 0.920 0.659
7 Ag 0.589 0.080 0.341
8 Ag 0.590 0.590 0.320
9 Ag 0.920 0.411 0.659
10 Sn 0.253 0.253 0.045
11 Sn 0.747 0.747 0.955



Entry 5:
Structure and theoretical powder diffractogram of Sr2MgAg4 (a DFT-relaxed cell (PBE, Alexandria); CuKα).
Kinematic intensities with the Lorentz-polarization factor, no thermal factor.

Peak list (6 most intense, 15 to 90 degrees two-theta, sorted by position)
2θ (°)	d (Å)	I (rel.)
16.50	5.374	66
30.11	2.968	73
31.03	2.882	77
37.10	2.423	47
38.85	2.318	100
49.11	1.855	43

Atomic structure:
abc: 7.962 7.962 4.847
angles: 90.00 90.00 137.55
Fractional coordinates of all 7 atoms:
1 Sr 0.158 0.842 0.000
2 Sr 0.842 0.158 0.000
3 Mg 0.500 0.500 0.500
4 Ag 0.308 0.692 0.500
5 Ag 0.406 0.594 0.000
6 Ag 0.594 0.406 0.000
7 Ag 0.692 0.308 0.500



Entry 6:
Structure and theoretical powder diffractogram of Sr4Mg2Ag5 (a DFT-relaxed cell (PBE, Alexandria); CuKα).
Kinematic intensities with the Lorentz-polarization factor, no thermal factor.

Peak list (6 most intense, 15 to 90 degrees two-theta, sorted by position)
2θ (°)	d (Å)	I (rel.)
23.51	3.785	47
28.67	3.114	61
30.51	2.930	62
31.20	2.867	78
31.90	2.806	71
32.35	2.767	100

Atomic structure:
abc: 11.783 11.783 11.783
angles: 131.30 58.65 149.36
Fractional coordinates of all 22 atoms:
1 Sr 0.061 0.727 0.788
2 Sr 0.152 0.122 0.274
3 Sr 0.348 0.622 0.970
4 Sr 0.439 0.227 0.667
5 Sr 0.561 0.773 0.333
6 Sr 0.652 0.378 0.030
7 Sr 0.848 0.878 0.726
8 Sr 0.939 0.273 0.212
9 Mg 0.053 0.750 0.303
10 Mg 0.447 0.750 0.697
11 Mg 0.553 0.250 0.303
12 Mg 0.947 0.250 0.697
13 Ag 0.085 0.414 0.499
14 Ag 0.218 0.802 0.020
15 Ag 0.250 0.250 0.000
16 Ag 0.282 0.302 0.585
17 Ag 0.415 0.914 0.329
18 Ag 0.585 0.086 0.671
19 Ag 0.718 0.698 0.415
20 Ag 0.750 0.750 0.000
21 Ag 0.782 0.198 0.980
22 Ag 0.915 0.586 0.501